This entry pairs a crystal structure of PrNd4Co2 with its computed powder diffraction line list. Radiation: Cu Kα X-rays. Structure: a structure optimized by DFT (PBE).
Neutral-atom scattering factors, no anomalous dispersion.

The 10 most intense peaks (2θ = 5–70°), in order of rising 2θ:
- 27.54 deg, intensity 40, (2 0 -2)
- 28.41 deg, intensity 80, (0 2 1)
- 28.57 deg, intensity 54, (2 1 -1)
- 29.76 deg, intensity 73, (1 0 2)
- 29.82 deg, intensity 50, (1 0 -3)
- 30.58 deg, intensity 41, (2 1 -2)
- 32.65 deg, intensity 100, (1 1 -3)
- 33.47 deg, intensity 46, (1 2 1)
- 36.78 deg, intensity 53, (2 2 -1)
- 55.06 deg, intensity 56, (3 2 -4)

Crystal structure
Cell: 7.039 6.791 8.995 Å, 90.00 112.94 90.00°
Element x y z (fractional)
Pr: 0.232 0.250 0.207
Pr: 0.768 0.750 0.793
Nd: 0.022 0.250 0.791
Nd: 0.283 0.000 0.566
Nd: 0.283 0.500 0.566
Nd: 0.333 0.750 0.999
Nd: 0.667 0.250 0.001
Nd: 0.717 0.000 0.434
Nd: 0.717 0.500 0.434
Nd: 0.978 0.750 0.209
Co: 0.038 0.750 0.663
Co: 0.375 0.750 0.337
Co: 0.625 0.250 0.663
Co: 0.962 0.250 0.337